Starting from a DFT-relaxed cell (GGA-PBE, the Materials Project), the PXRD pattern of Nd2NiGe3 was calculated for λ = 1.5418 Å (Cu Kα).
Intensities are scaled so that the largest is 100.

Structural model:
```
data_Nd2NiGe3
_chemical_formula_sum 'Nd2 Ni1 Ge3'
_space_group_name_H-M_alt 'P -6 m 2'
_space_group_IT_number 187
_space_group_name_Hall 'P -6 2'
_cell_length_a 4.2508
_cell_length_b 4.2508
_cell_length_c 8.2643
_cell_angle_alpha 90.00
_cell_angle_beta 90.00
_cell_angle_gamma 120.00
loop_
_atom_site_label
_atom_site_type_symbol
_atom_site_fract_x
_atom_site_fract_y
_atom_site_fract_z
Nd1 Nd 0.0000 0.0000 0.2325
Ni1 Ni 0.3333 0.6667 0.0000
Ge1 Ge 0.3333 0.6667 0.5000
Ge2 Ge 0.6667 0.3333 0.0000
Ge3 Ge 0.6667 0.3333 0.5000
```

Main lines, low angle first (2θ from 10° to 80°):
two_theta  I (rel.)  h k l
24.18  12  1 0 0
32.58  100  1 0 2
40.92  2  1 0 3
42.53  44  1 1 0
43.82  12  0 0 4
54.58  24  2 0 2
62.71  24  1 1 4
71.55  20  2 1 2
73.40  7  1 0 6
77.84  7  3 0 0